# 1
This entry pairs a crystal structure of Li5Mn2CoO8 with its computed X-ray powder pattern. Radiation: copper Kα. Structure: a DFT-relaxed cell (GGA+U, the Materials Project).

Top 12 peaks for 15° ≤ 2θ ≤ 90°, by intensity:
d (Å), I_rel
4.800, 100.0
2.054, 59.8
2.080, 31.3
2.489, 24.8
1.452, 15.4
2.460, 11.5
4.978, 9.5
3.340, 8.6
1.442, 8.1
1.481, 8.0
1.459, 7.9
1.465, 7.8

a = 5.770 Å, b = 6.498 Å, c = 7.805 Å
α = 85.78°, β = 80.13°, γ = 77.21°
Positions (direct):
Li (0.057, 0.142, 0.125)
Li (0.194, 0.380, 0.362)
Li (0.249, 0.500, 0.000)
Li (0.303, 0.621, 0.638)
Li (0.440, 0.856, 0.879)
Li (0.560, 0.144, 0.121)
Li (0.697, 0.379, 0.362)
Li (0.751, 0.500, 0.000)
Li (0.806, 0.620, 0.638)
Li (0.943, 0.858, 0.875)
Mn (0.116, 0.262, 0.756)
Mn (0.382, 0.736, 0.244)
Mn (0.618, 0.264, 0.756)
Mn (0.884, 0.738, 0.244)
Co (0.000, 0.000, 0.500)
Co (0.500, 0.000, 0.500)
O (0.036, 0.541, 0.806)
O (0.105, 0.694, 0.415)
O (0.154, 0.810, 0.084)
O (0.205, 0.956, 0.675)
O (0.281, 0.044, 0.330)
O (0.350, 0.186, 0.914)
O (0.397, 0.302, 0.583)
O (0.466, 0.457, 0.194)
O (0.534, 0.543, 0.806)
O (0.603, 0.698, 0.417)
O (0.650, 0.814, 0.086)
O (0.719, 0.956, 0.670)
O (0.795, 0.044, 0.325)
O (0.846, 0.190, 0.916)
O (0.895, 0.306, 0.585)
O (0.964, 0.459, 0.194)

# 2
This entry pairs a crystal structure of Li4MnCo2O7 with its computed X-ray powder pattern. Radiation: copper Kα. Structure: a DFT-relaxed cell (GGA+U, the Materials Project).

Top 12 peaks for 15° ≤ 2θ ≤ 90°, by intensity:
d (Å), I_rel
4.821, 100.0
2.039, 52.1
2.110, 29.4
2.449, 24.4
2.523, 15.9
1.461, 15.1
1.472, 14.6
1.581, 9.3
1.899, 8.7
1.458, 7.1
2.364, 6.9
1.427, 6.6

a = 10.309 Å, b = 10.309 Å, c = 5.154 Å
α = 95.02°, β = 95.02°, γ = 151.34°
Positions (direct):
Li (0.000, 0.000, 0.000)
Li (0.149, 0.851, 0.000)
Li (0.292, 0.708, 0.000)
Li (0.435, 0.565, 0.000)
Li (0.574, 0.426, 0.000)
Li (0.722, 0.278, 0.000)
Li (0.865, 0.135, 0.000)
Li (0.933, 0.067, 0.500)
Mn (0.074, 0.926, 0.500)
Mn (0.649, 0.351, 0.500)
Co (0.220, 0.780, 0.500)
Co (0.368, 0.632, 0.500)
Co (0.504, 0.496, 0.500)
Co (0.793, 0.207, 0.500)
O (0.040, 0.461, 0.289)
O (0.091, 0.380, 0.728)
O (0.208, 0.337, 0.259)
O (0.264, 0.244, 0.721)
O (0.327, 0.175, 0.284)
O (0.367, 0.071, 0.733)
O (0.495, 0.054, 0.272)
O (0.539, 0.960, 0.711)
O (0.620, 0.909, 0.272)
O (0.663, 0.792, 0.741)
O (0.756, 0.736, 0.279)
O (0.825, 0.673, 0.716)
O (0.929, 0.633, 0.267)
O (0.946, 0.505, 0.728)

# 3
This entry pairs a crystal structure of Li4MnCo2O7 with its computed X-ray powder pattern. Radiation: copper Kα. Structure: a DFT-relaxed cell (GGA+U, the Materials Project).

Top 12 peaks for 15° ≤ 2θ ≤ 90°, by intensity:
d (Å), I_rel
4.843, 100.0
2.153, 32.5
2.066, 27.6
2.032, 25.5
2.572, 17.6
2.486, 12.7
2.455, 11.1
1.492, 8.1
1.489, 8.1
1.475, 8.0
1.481, 7.7
1.460, 7.2

a = 2.981 Å, b = 5.077 Å, c = 16.749 Å
α = 89.33°, β = 87.06°, γ = 88.94°
Positions (direct):
Li (0.000, 0.000, 0.000)
Li (0.052, 0.333, 0.863)
Li (0.203, 0.054, 0.571)
Li (0.347, 0.770, 0.286)
Li (0.476, 0.463, 0.003)
Li (0.634, 0.206, 0.714)
Li (0.773, 0.910, 0.428)
Li (0.923, 0.631, 0.145)
Mn (0.122, 0.694, 0.715)
Mn (0.549, 0.847, 0.864)
Co (0.278, 0.410, 0.429)
Co (0.422, 0.125, 0.139)
Co (0.712, 0.553, 0.572)
Co (0.843, 0.263, 0.285)
O (0.032, 0.686, 0.922)
O (0.069, 0.989, 0.793)
O (0.137, 0.390, 0.642)
O (0.284, 0.710, 0.502)
O (0.313, 0.107, 0.359)
O (0.369, 0.414, 0.214)
O (0.448, 0.842, 0.083)
O (0.531, 0.143, 0.924)
O (0.546, 0.540, 0.786)
O (0.697, 0.856, 0.643)
O (0.750, 0.261, 0.501)
O (0.805, 0.566, 0.356)
O (0.847, 0.968, 0.216)
O (0.978, 0.299, 0.079)

# 4
This entry pairs a crystal structure of Li4MnCo2O7 with its computed X-ray powder pattern. Radiation: copper Kα. Structure: a DFT-relaxed cell (GGA+U, the Materials Project).

Top 12 peaks for 15° ≤ 2θ ≤ 90°, by intensity:
d (Å), I_rel
4.840, 100.0
2.103, 29.4
2.059, 27.3
2.065, 27.3
2.520, 13.9
2.484, 13.0
2.472, 12.9
1.480, 7.9
1.471, 7.6
1.463, 7.6
1.476, 7.5
1.468, 7.4

a = 5.156 Å, b = 7.690 Å, c = 7.694 Å
α = 119.06°, β = 103.08°, γ = 96.74°
Positions (direct):
Li (0.000, 0.000, 0.000)
Li (0.005, 0.135, 0.425)
Li (0.005, 0.427, 0.286)
Li (0.009, 0.726, 0.153)
Li (0.500, 0.000, 0.500)
Li (0.991, 0.274, 0.847)
Li (0.995, 0.573, 0.714)
Li (0.995, 0.865, 0.575)
Mn (0.498, 0.572, 0.215)
Mn (0.502, 0.428, 0.785)
Co (0.494, 0.138, 0.922)
Co (0.494, 0.275, 0.358)
Co (0.506, 0.725, 0.642)
Co (0.506, 0.862, 0.078)
O (0.265, 0.013, 0.248)
O (0.269, 0.856, 0.828)
O (0.272, 0.159, 0.698)
O (0.273, 0.698, 0.379)
O (0.276, 0.301, 0.114)
O (0.276, 0.437, 0.554)
O (0.280, 0.568, 0.969)
O (0.720, 0.432, 0.031)
O (0.724, 0.563, 0.446)
O (0.724, 0.699, 0.886)
O (0.727, 0.302, 0.621)
O (0.728, 0.841, 0.302)
O (0.731, 0.144, 0.172)
O (0.735, 0.987, 0.752)